(1)
Calculated X-ray powder pattern
Compound: La2Cu2O5
Radiation: Cu Kα
Structure: a cell relaxed with GGA-PBE
No peak broadening, texture or thermal motion is included.

Crystal structure
```
data_La2Cu2O5
_chemical_formula_sum 'La4 Cu4 O10'
_cell_length_a 5.486
_cell_length_b 10.544
_cell_length_c 3.925
_cell_angle_alpha 90.00
_cell_angle_beta 90.00
_cell_angle_gamma 90.00
_space_group_name_H-M_alt 'P 1'
_space_group_IT_number 1
loop_
_space_group_symop_operation_xyz
'x,y,z'
loop_
_atom_site_label
_atom_site_type_symbol
_atom_site_fract_x
_atom_site_fract_y
_atom_site_fract_z
La1 La 0.194 0.137 0.000
La2 La 0.306 0.637 0.000
La3 La 0.694 0.363 0.000
La4 La 0.806 0.863 0.000
Cu1 Cu 0.204 0.395 0.500
Cu2 Cu 0.296 0.895 0.500
Cu3 Cu 0.704 0.105 0.500
Cu4 Cu 0.796 0.605 0.500
O1 O 0.000 0.000 0.500
O2 O 0.083 0.709 0.500
O3 O 0.214 0.396 0.000
O4 O 0.286 0.896 0.000
O5 O 0.417 0.209 0.500
O6 O 0.500 0.500 0.500
O7 O 0.583 0.791 0.500
O8 O 0.714 0.104 0.000
O9 O 0.786 0.604 0.000
O10 O 0.917 0.291 0.500
```

Peak list (10 most intense, 10° ≤ 2θ ≤ 80°, sorted by position)
d = 2.743 Å, I 22
d = 2.731 Å, I 100
d = 2.655 Å, I 10
d = 2.636 Å, I 28
d = 1.963 Å, I 19
d = 1.901 Å, I 18
d = 1.637 Å, I 10
d = 1.574 Å, I 11
d = 1.539 Å, I 18
d = 1.365 Å, I 11

(2)
Calculated X-ray powder pattern
Compound: La2Cu2O5
Radiation: Cu Kα
Structure: a cell relaxed with GGA-PBE
No peak broadening, texture or thermal motion is included.

Crystal structure
```
data_La2Cu2O5
_chemical_formula_sum 'La12 Cu12 O30'
_cell_length_a 7.221
_cell_length_b 7.221
_cell_length_c 27.571
_cell_angle_alpha 102.41
_cell_angle_beta 102.41
_cell_angle_gamma 30.28
_space_group_name_H-M_alt 'P 1'
_space_group_IT_number 1
loop_
_space_group_symop_operation_xyz
'x,y,z'
loop_
_atom_site_label
_atom_site_type_symbol
_atom_site_fract_x
_atom_site_fract_y
_atom_site_fract_z
La1 La 0.118 0.632 0.597
La2 La 0.130 0.593 0.731
La3 La 0.133 0.559 0.865
La4 La 0.368 0.882 0.903
La5 La 0.407 0.870 0.769
La6 La 0.441 0.867 0.635
La7 La 0.559 0.133 0.365
La8 La 0.593 0.130 0.231
La9 La 0.632 0.118 0.097
La10 La 0.867 0.441 0.135
La11 La 0.870 0.407 0.269
La12 La 0.882 0.368 0.403
Cu1 Cu 0.068 0.300 0.029
Cu2 Cu 0.227 0.759 0.319
Cu3 Cu 0.241 0.773 0.181
Cu4 Cu 0.245 0.730 0.460
Cu5 Cu 0.270 0.755 0.040
Cu6 Cu 0.300 0.068 0.529
Cu7 Cu 0.700 0.932 0.471
Cu8 Cu 0.730 0.245 0.960
Cu9 Cu 0.755 0.270 0.540
Cu10 Cu 0.759 0.227 0.819
Cu11 Cu 0.773 0.241 0.681
Cu12 Cu 0.932 0.700 0.971
O1 O 0.008 0.399 0.587
O2 O 0.032 0.592 0.291
O3 O 0.033 0.622 0.163
O4 O 0.102 0.557 0.039
O5 O 0.202 0.713 0.964
O6 O 0.233 0.743 0.389
O7 O 0.233 0.767 0.250
O8 O 0.257 0.767 0.111
O9 O 0.259 0.726 0.819
O10 O 0.274 0.741 0.681
O11 O 0.287 0.798 0.536
O12 O 0.378 0.967 0.337
O13 O 0.399 0.008 0.087
O14 O 0.408 0.968 0.209
O15 O 0.443 0.898 0.461
O16 O 0.557 0.102 0.539
O17 O 0.592 0.032 0.791
O18 O 0.601 0.992 0.913
O19 O 0.622 0.033 0.663
O20 O 0.713 0.202 0.464
O21 O 0.726 0.259 0.319
O22 O 0.741 0.274 0.181
O23 O 0.743 0.233 0.889
O24 O 0.767 0.233 0.750
O25 O 0.767 0.257 0.611
O26 O 0.798 0.287 0.036
O27 O 0.898 0.443 0.961
O28 O 0.967 0.378 0.837
O29 O 0.968 0.408 0.709
O30 O 0.992 0.601 0.413
```

Peak list (10 most intense, 10° ≤ 2θ ≤ 80°, sorted by position)
d = 3.054 Å, I 25
d = 2.927 Å, I 25
d = 2.839 Å, I 65
d = 2.776 Å, I 42
d = 2.722 Å, I 100
d = 2.710 Å, I 20
d = 2.265 Å, I 22
d = 2.168 Å, I 21
d = 2.082 Å, I 18
d = 1.886 Å, I 24

(3)
Calculated X-ray powder pattern
Compound: La8Cu3O16
Radiation: Cu Kα
Structure: a cell relaxed with GGA-PBE
No peak broadening, texture or thermal motion is included.

Crystal structure
```
data_La8Cu3O16
_chemical_formula_sum 'La8 Cu3 O16'
_cell_length_a 7.107
_cell_length_b 7.541
_cell_length_c 8.421
_cell_angle_alpha 116.53
_cell_angle_beta 96.77
_cell_angle_gamma 105.51
_space_group_name_H-M_alt 'P 1'
_space_group_IT_number 1
loop_
_space_group_symop_operation_xyz
'x,y,z'
loop_
_atom_site_label
_atom_site_type_symbol
_atom_site_fract_x
_atom_site_fract_y
_atom_site_fract_z
La1 La 0.222 0.156 0.189
La2 La 0.223 0.430 0.673
La3 La 0.223 0.641 0.186
La4 La 0.231 0.910 0.677
La5 La 0.769 0.090 0.323
La6 La 0.777 0.359 0.814
La7 La 0.777 0.570 0.327
La8 La 0.778 0.844 0.811
Cu1 Cu 0.500 0.251 0.000
Cu2 Cu 0.500 0.500 0.500
Cu3 Cu 0.500 0.749 0.000
O1 O 0.123 0.051 0.400
O2 O 0.131 0.544 0.411
O3 O 0.132 0.306 0.898
O4 O 0.136 0.792 0.907
O5 O 0.493 0.877 0.248
O6 O 0.497 0.257 0.499
O7 O 0.500 0.000 0.000
O8 O 0.500 0.384 0.245
O9 O 0.500 0.500 0.000
O10 O 0.500 0.616 0.755
O11 O 0.503 0.743 0.501
O12 O 0.507 0.123 0.752
O13 O 0.864 0.208 0.093
O14 O 0.868 0.694 0.102
O15 O 0.869 0.456 0.589
O16 O 0.877 0.949 0.600
```

Peak list (10 most intense, 10° ≤ 2θ ≤ 80°, sorted by position)
d = 3.625 Å, I 100
d = 3.292 Å, I 24
d = 2.859 Å, I 96
d = 2.473 Å, I 22
d = 2.469 Å, I 94
d = 2.159 Å, I 44
d = 1.884 Å, I 28
d = 1.694 Å, I 17
d = 1.673 Å, I 17
d = 1.671 Å, I 19